No. 1
PuScTlAg: theoretical PXRD pattern (CuKα), based on a DFT-relaxed cell (PBE, Alexandria).

Atomic structure:
Cell lengths 7.314, 7.314, 7.314 Å; angles 90.00, 90.00, 90.00 degrees
Atoms (fractional coordinates):
Pu 0.000 0.000 0.000
Pu 0.000 0.500 0.500
Pu 0.500 0.000 0.500
Pu 0.500 0.500 0.000
Sc 0.000 0.000 0.500
Sc 0.000 0.500 0.000
Sc 0.500 0.000 0.000
Sc 0.500 0.500 0.500
Tl 0.250 0.250 0.750
Tl 0.250 0.750 0.250
Tl 0.750 0.250 0.250
Tl 0.750 0.750 0.750
Ag 0.250 0.250 0.250
Ag 0.250 0.750 0.750
Ag 0.750 0.250 0.750
Ag 0.750 0.750 0.250

Largest 8 diffraction maxima, by angle, 15 to 90 degrees two-theta:
2θ = 21.0°, I = 28; 2θ = 34.7°, I = 100; 2θ = 40.9°, I = 16; 2θ = 49.9°, I = 18; 2θ = 54.7°, I = 7; 2θ = 62.2°, I = 37; 2θ = 73.2°, I = 11; 2θ = 83.6°, I = 16

---

No. 2
PmB3C2: theoretical PXRD pattern (CuKα), based on a DFT-relaxed cell (PBE, Alexandria).

Atomic structure:
Cell lengths 5.833, 5.833, 7.560 Å; angles 117.18, 117.18, 28.69 degrees
Atoms (fractional coordinates):
Pm 0.136 0.136 0.032
Pm 0.864 0.864 0.968
B 0.112 0.112 0.417
B 0.280 0.280 0.603
B 0.394 0.394 0.287
B 0.606 0.606 0.713
B 0.720 0.720 0.397
B 0.888 0.888 0.583
C 0.160 0.160 0.669
C 0.453 0.453 0.705
C 0.547 0.547 0.295
C 0.840 0.840 0.331

Largest 8 diffraction maxima, by angle, 15 to 90 degrees two-theta:
2θ = 26.7°, I = 55; 2θ = 31.9°, I = 42; 2θ = 32.3°, I = 39; 2θ = 33.3°, I = 100; 2θ = 36.0°, I = 42; 2θ = 39.4°, I = 68; 2θ = 39.6°, I = 32; 2θ = 41.4°, I = 45

---

No. 3
K5InBr7: theoretical PXRD pattern (CuKα), based on a DFT-relaxed cell (PBE, Alexandria).

Atomic structure:
Cell lengths 27.625, 8.200, 8.200 Å; angles 31.51, 90.00, 90.00 degrees
Atoms (fractional coordinates):
K 0.100 0.000 0.000
K 0.177 0.262 0.262
K 0.249 0.542 0.542
K 0.322 0.821 0.821
K 0.399 0.083 0.083
K 0.601 0.083 0.083
K 0.678 0.821 0.821
K 0.751 0.542 0.542
K 0.823 0.262 0.262
K 0.900 0.000 0.000
In 0.000 0.764 0.764
In 0.500 0.318 0.318
Br 0.000 0.140 0.140
Br 0.064 0.344 0.344
Br 0.140 0.627 0.627
Br 0.209 0.904 0.904
Br 0.290 0.179 0.179
Br 0.358 0.457 0.457
Br 0.435 0.739 0.739
Br 0.500 0.943 0.943
Br 0.565 0.739 0.739
Br 0.642 0.457 0.457
Br 0.710 0.179 0.179
Br 0.791 0.904 0.904
Br 0.860 0.627 0.627
Br 0.936 0.344 0.344

Largest 8 diffraction maxima, by angle, 15 to 90 degrees two-theta:
2θ = 25.2°, I = 94; 2θ = 27.0°, I = 64; 2θ = 28.0°, I = 100; 2θ = 36.0°, I = 35; 2θ = 37.3°, I = 38; 2θ = 38.8°, I = 35; 2θ = 40.5°, I = 37; 2θ = 48.3°, I = 34

---

Please write out number 3 again, unchanged.
K5InBr7: theoretical PXRD pattern (CuKα), based on a DFT-relaxed cell (PBE, Alexandria).

Atomic structure:
Cell lengths 27.625, 8.200, 8.200 Å; angles 31.51, 90.00, 90.00 degrees
Atoms (fractional coordinates):
K 0.100 0.000 0.000
K 0.177 0.262 0.262
K 0.249 0.542 0.542
K 0.322 0.821 0.821
K 0.399 0.083 0.083
K 0.601 0.083 0.083
K 0.678 0.821 0.821
K 0.751 0.542 0.542
K 0.823 0.262 0.262
K 0.900 0.000 0.000
In 0.000 0.764 0.764
In 0.500 0.318 0.318
Br 0.000 0.140 0.140
Br 0.064 0.344 0.344
Br 0.140 0.627 0.627
Br 0.209 0.904 0.904
Br 0.290 0.179 0.179
Br 0.358 0.457 0.457
Br 0.435 0.739 0.739
Br 0.500 0.943 0.943
Br 0.565 0.739 0.739
Br 0.642 0.457 0.457
Br 0.710 0.179 0.179
Br 0.791 0.904 0.904
Br 0.860 0.627 0.627
Br 0.936 0.344 0.344

Largest 8 diffraction maxima, by angle, 15 to 90 degrees two-theta:
2θ = 25.2°, I = 94; 2θ = 27.0°, I = 64; 2θ = 28.0°, I = 100; 2θ = 36.0°, I = 35; 2θ = 37.3°, I = 38; 2θ = 38.8°, I = 35; 2θ = 40.5°, I = 37; 2θ = 48.3°, I = 34